# GdFe3Se2
Theoretical PXRD pattern, Cu Kα, 1.54184 Å. Input: a structure optimized by DFT (PBE).

```
data_GdFe3Se2
_chemical_formula_sum 'Gd1 Fe3 Se2'
_space_group_name_H-M_alt 'P -4 m 2'
_space_group_IT_number 115
_cell_length_a 3.963
_cell_length_b 3.963
_cell_length_c 6.659
_cell_angle_alpha 90.00
_cell_angle_beta 90.00
_cell_angle_gamma 90.00
loop_
_space_group_symop_operation_xyz
'x,y,z'
'y,-x,-z'
'-x,-y,z'
'-y,x,-z'
'-x,y,z'
'-y,-x,-z'
'x,-y,z'
'y,x,-z'
loop_
_atom_site_label
_atom_site_fract_x
_atom_site_fract_y
_atom_site_fract_z
Gd1 0.000 0.000 0.000
Fe1 0.000 0.500 0.317
Fe2 0.500 0.500 0.000
Se1 0.000 0.500 0.691
```

Peak list (10 most intense, 2θ from 10° to 90°, in order of rising 2θ)
hkl	2θ (°)	I/Imax
0 0 1	13.3	27.7
1 0 1	26.2	21.4
1 1 1	34.7	100.0
0 0 3	40.6	34.5
1 1 2	42.1	94.3
2 0 0	45.8	53.0
2 0 3	62.9	36.3
3 1 1	77.5	18.3
1 1 5	79.7	18.0
3 1 2	82.2	25.6

# GdYFe2
Theoretical PXRD pattern, Cu Kα, 1.54184 Å. Input: a structure optimized by DFT (PBE).

```
data_GdYFe2
_chemical_formula_sum 'Gd2 Y2 Fe4'
_space_group_name_H-M_alt 'A m m 2'
_space_group_IT_number 38
_cell_length_a 3.796
_cell_length_b 4.122
_cell_length_c 10.444
_cell_angle_alpha 90.00
_cell_angle_beta 90.00
_cell_angle_gamma 90.00
loop_
_space_group_symop_operation_xyz
'x,y,z'
'-x,-y,z'
'-x,y,z'
'x,-y,z'
'x,y+1/2,z+1/2'
'-x,-y+1/2,z+1/2'
'-x,y+1/2,z+1/2'
'x,-y+1/2,z+1/2'
loop_
_atom_site_label
_atom_site_fract_x
_atom_site_fract_y
_atom_site_fract_z
Gd1 0.000 0.000 0.000
Y1 0.500 0.000 0.712
Fe1 0.000 0.000 0.300
Fe2 0.500 0.000 0.410
```

Peak list (10 most intense, 2θ from 10° to 90°, in order of rising 2θ)
hkl	2θ (°)	I/Imax
1 0 2	29.1	33.6
1 1 1	33.2	100.0
0 1 3	33.7	69.7
0 0 4	34.3	16.0
1 1 3	41.5	42.8
1 0 4	42.0	25.9
0 2 0	43.9	26.7
2 0 0	47.9	20.6
2 1 3	59.9	25.6
1 2 4	62.4	15.2

# FeGe4
Theoretical PXRD pattern, Cu Kα, 1.54184 Å. Input: a structure optimized by DFT (PBE).

```
data_FeGe4
_chemical_formula_sum 'Fe8 Ge32'
_space_group_name_H-M_alt 'C 1 2/c 1'
_space_group_IT_number 15
_cell_length_a 5.557
_cell_length_b 11.616
_cell_length_c 11.761
_cell_angle_alpha 90.00
_cell_angle_beta 92.53
_cell_angle_gamma 90.00
loop_
_space_group_symop_operation_xyz
'x,y,z'
'-x,-y,-z'
'-x,y,-z+1/2'
'x,-y,z+1/2'
'x+1/2,y+1/2,z'
'-x+1/2,-y+1/2,-z'
'-x+1/2,y+1/2,-z+1/2'
'x+1/2,-y+1/2,z+1/2'
loop_
_atom_site_label
_atom_site_fract_x
_atom_site_fract_y
_atom_site_fract_z
Fe1 0.000 0.090 0.250
Fe2 0.250 0.250 0.500
Ge1 0.029 0.100 0.051
Ge2 0.031 0.394 0.027
Ge3 0.213 0.265 0.703
Ge4 0.229 0.443 0.222
```

Peak list (10 most intense, 2θ from 10° to 90°, in order of rising 2θ)
hkl	2θ (°)	I/Imax
1 1 -1	19.0	28.4
1 3 1	29.3	100.0
0 0 4	30.4	74.9
0 4 2	34.5	36.2
2 0 -2	35.1	57.0
2 2 0	35.9	28.9
1 1 -5	41.8	35.4
2 4 0	45.2	58.9
0 6 0	46.9	32.8
1 3 5	48.8	78.5

# FeGe
Theoretical PXRD pattern, Cu Kα, 1.54184 Å. Input: a structure optimized by DFT (PBE).

```
data_FeGe
_chemical_formula_sum 'Fe1 Ge1'
_space_group_name_H-M_alt 'P -6 m 2'
_space_group_IT_number 187
_space_group_name_Hall 'P -6 2'
_cell_length_a 2.9234
_cell_length_b 2.9234
_cell_length_c 3.5977
_cell_angle_alpha 90.00
_cell_angle_beta 90.00
_cell_angle_gamma 120.00
loop_
_atom_site_label
_atom_site_fract_x
_atom_site_fract_y
_atom_site_fract_z
Fe1 0.0000 0.0000 0.0000
Ge1 0.6667 0.3333 0.5000
```

Peak list (10 most intense, 2θ from 10° to 90°, in order of rising 2θ)
hkl	2θ (°)	I/Imax
0 0 1	24.7	1.4
1 0 0	35.5	31.7
1 0 1	43.7	100.0
0 0 2	50.8	14.0
1 0 2	63.4	11.0
1 1 0	63.7	20.4
1 1 1	69.4	0.7
2 0 0	75.0	3.3
2 0 1	80.4	15.4
1 1 2	85.6	17.4

# FeGe2
Theoretical PXRD pattern, Cu Kα, 1.54184 Å. Input: a structure optimized by DFT (PBE).

```
data_FeGe2
_chemical_formula_sum 'Fe16 Ge32'
_space_group_name_H-M_alt 'C m c e'
_space_group_IT_number 64
_space_group_name_Hall '-C 2ac 2'
_cell_length_a 10.552
_cell_length_b 8.113
_cell_length_c 8.249
_cell_angle_alpha 90.00
_cell_angle_beta 90.00
_cell_angle_gamma 90.00
loop_
_atom_site_label
_atom_site_fract_x
_atom_site_fract_y
_atom_site_fract_z
Fe1 0.000 0.197 0.188
Fe2 0.218 0.000 0.000
Ge1 0.126 0.040 0.731
Ge2 0.127 0.228 0.456
```

Peak list (10 most intense, 2θ from 10° to 90°, in order of rising 2θ)
hkl	2θ (°)	I/Imax
2 0 2	27.4	20.0
2 2 0	27.7	19.8
0 2 2	30.9	38.2
4 0 0	34.0	23.4
3 1 2	35.3	17.8
0 0 4	43.9	19.2
0 4 0	44.7	21.3
0 4 1	46.1	19.5
1 1 4	46.2	24.8
4 2 2	46.6	100.0

# FeGe3
Theoretical PXRD pattern, Cu Kα, 1.54184 Å. Input: a structure optimized by DFT (PBE).

```
data_FeGe3
_chemical_formula_sum 'Fe1 Ge3'
_space_group_name_H-M_alt 'P m -3 m'
_space_group_IT_number 221
_space_group_name_Hall '-P 4 2 3'
_cell_length_a 4.047
_cell_length_b 4.047
_cell_length_c 4.047
_cell_angle_alpha 90.00
_cell_angle_beta 90.00
_cell_angle_gamma 90.00
loop_
_atom_site_label
_atom_site_fract_x
_atom_site_fract_y
_atom_site_fract_z
Fe1 0.000 0.000 0.000
Ge1 0.000 0.500 0.500
```

Peak list (8 most intense, 2θ from 10° to 90°, in order of rising 2θ)
hkl	2θ (°)	I/Imax
1 0 0	22.0	0.9
1 1 0	31.3	0.8
1 1 1	38.5	100.0
2 0 0	44.8	48.4
2 1 0	50.4	0.5
2 2 0	65.2	30.3
3 1 1	78.4	35.2
2 2 2	82.6	10.2

# FeGe2
Theoretical PXRD pattern, Cu Kα, 1.54184 Å. Input: a structure optimized by DFT (PBE).

```
data_FeGe2
_chemical_formula_sum 'Fe8 Ge16'
_space_group_name_H-M_alt 'C m c e'
_space_group_IT_number 64
_space_group_name_Hall '-C 2ac 2'
_cell_length_a 10.864
_cell_length_b 5.719
_cell_length_c 5.720
_cell_angle_alpha 90.00
_cell_angle_beta 90.00
_cell_angle_gamma 90.00
loop_
_atom_site_label
_atom_site_fract_x
_atom_site_fract_y
_atom_site_fract_z
Fe1 0.116 0.000 0.000
Ge1 0.000 0.156 0.343
Ge2 0.250 0.249 0.250
```

Peak list (10 most intense, 2θ from 10° to 90°, in order of rising 2θ)
hkl	2θ (°)	I/Imax
4 0 0	33.0	21.6
3 1 1	33.2	31.8
2 2 0	35.5	23.3
1 1 2	36.1	25.8
2 2 1	38.9	20.4
0 2 2	44.8	44.0
4 0 2	46.1	100.0
5 1 1	47.5	19.5
1 1 3	51.2	39.7
2 4 0	67.8	17.6

# Fe2Ge3
Theoretical PXRD pattern, Cu Kα, 1.54184 Å. Input: a structure optimized by DFT (PBE).

```
data_Fe2Ge3
_chemical_formula_sum 'Fe12 Ge18'
_space_group_name_H-M_alt 'R -3 c'
_space_group_IT_number 167
_space_group_name_Hall '-R 3 2"c'
_cell_length_a 5.3995
_cell_length_b 5.3995
_cell_length_c 17.8897
_cell_angle_alpha 90.00
_cell_angle_beta 90.00
_cell_angle_gamma 120.00
loop_
_atom_site_label
_atom_site_fract_x
_atom_site_fract_y
_atom_site_fract_z
Fe1 0.0000 0.0000 0.1690
Ge1 0.0000 0.3559 0.2500
```

Peak list (10 most intense, 2θ from 10° to 90°, in order of rising 2θ)
hkl	2θ (°)	I/Imax
0 1 2	21.4	11.2
1 0 4	27.6	14.5
1 1 3	36.5	100.0
2 0 2	39.9	10.9
1 1 6	45.3	75.5
1 1 9	57.6	26.1
3 0 0	59.3	34.3
0 0 12	62.3	10.5
2 2 3	71.7	11.9
2 2 6	77.6	13.0